Simulated powder diffraction line list of K2CoIrO6 for Cu Kα, from a DFT-relaxed cell (PBE+U, OQMD).

Cell and atoms:
Cell lengths 5.533, 5.533, 5.533 Å; angles 60.00, 60.00, 60.00 degrees
Positions (direct):
1 K 0.250 0.250 0.250
2 K 0.750 0.750 0.750
3 Co 0.000 0.000 0.000
4 Ir 0.500 0.500 0.500
5 O 0.255 0.255 0.745
6 O 0.255 0.745 0.255
7 O 0.255 0.745 0.745
8 O 0.745 0.255 0.255
9 O 0.745 0.255 0.745
10 O 0.745 0.745 0.255

Peak list (10 most intense, 2θ = 10–80°, by intensity)
2θ (°), d (Å), I/Imax
32.36, 2.766, 100
22.73, 3.912, 56
19.65, 4.517, 42
57.72, 1.597, 38
46.42, 1.956, 36
52.29, 1.750, 24
38.15, 2.359, 23
67.75, 1.383, 21
77.09, 1.237, 16
72.48, 1.304, 11